Calculated powder diffractogram of Ba3Mg8Ag for a wavelength of 1.5418 Å, from a PBE-relaxed structure.

Most intense lines, 10 to 90 degrees two-theta, in order of rising 2θ:
16.88°, I = 52.2, (0 0 6)
27.73°, I = 89.7, (1 1 0)
32.64°, I = 100.0, (1 1 6)
43.35°, I = 11.3, (0 1 14)
49.05°, I = 30.1, (3 0 0)
52.24°, I = 29.3, (3 0 6)
57.28°, I = 18.7, (2 2 0)
64.81°, I = 10.3, (3 1 8)
78.71°, I = 12.1, (4 1 0)
81.21°, I = 15.9, (1 4 6)

Cell and atoms:
Cell: 6.4332 6.4332 31.5196 Å, 90.00 90.00 120.00°
Space group R3m (No. 160, hexagonal axes)
Symmetry-distinct sites (fractional):
Ba1 0.0000 0.0000 0.0000 [3 per cell]
Ba2 0.0000 0.0000 0.1285 [3 per cell]
Ba3 0.0000 0.0000 0.6187 [3 per cell]
Mg1 0.0000 0.0000 0.3125 [3 per cell]
Mg2 0.0000 0.0000 0.8137 [3 per cell]
Mg3 0.0050 0.5025 0.0660 [9 per cell]
Mg4 0.1670 0.3341 0.8940 [9 per cell]
Ag1 0.0000 0.0000 0.4768 [3 per cell]

Calculated powder diffractogram of Ba3Mg2Ag7 for a wavelength of 1.5418 Å, from a PBE-relaxed structure.

Most intense lines, 10 to 90 degrees two-theta, in order of rising 2θ:
27.89°, I = 44.1, (1 0 7)
30.57°, I = 36.3, (0 1 8)
33.59°, I = 65.0, (0 2 1)
34.06°, I = 30.2, (2 0 2)
34.81°, I = 100.0, (1 1 6)
37.21°, I = 31.5, (2 0 5)
55.05°, I = 26.1, (0 3 6)
57.62°, I = 22.6, (2 0 14)
59.75°, I = 31.5, (2 2 0)
73.50°, I = 23.3, (2 2 12)

Cell and atoms:
Cell: 6.1904 6.1904 27.9114 Å, 90.00 90.00 120.00°
Space group R-3m (No. 166, hexagonal axes)
Symmetry-distinct sites (fractional):
Ba1 0.0000 0.0000 0.0000 [3 per cell]
Ba2 0.0000 0.0000 0.1439 [6 per cell]
Mg1 0.0000 0.0000 0.3302 [6 per cell]
Ag1 0.0000 0.0000 0.5000 [3 per cell]
Ag2 0.0093 0.5046 0.0795 [18 per cell]

Calculated powder diffractogram of BaMg2Ag9 for a wavelength of 1.5418 Å, from a PBE-relaxed structure.

Most intense lines, 10 to 90 degrees two-theta, in order of rising 2θ:
25.99°, I = 16.3, (3 0 1)
34.17°, I = 100.0, (3 1 2)
34.68°, I = 74.8, (4 2 0)
36.64°, I = 23.7, (1 0 3)
39.29°, I = 25.4, (4 0 2)
39.93°, I = 18.5, (2 1 3)
40.80°, I = 69.4, (5 0 1)
42.40°, I = 19.6, (4 2 2)
52.08°, I = 21.1, (5 4 1)
61.84°, I = 28.8, (5 5 2)

Cell and atoms:
Cell: 11.5676 11.5676 7.5281 Å, 90.00 90.00 90.00°
Space group I4_1/amd (No. 141, origin choice 2)
Symmetry-distinct sites (fractional):
Ba1 0.0000 0.2500 0.3750 [4 per cell]
Mg1 0.0000 0.0000 0.0000 [8 per cell]
Ag1 0.0000 0.2500 0.8750 [4 per cell]
Ag2 0.1228 0.0439 0.6838 [32 per cell]

Calculated powder diffractogram of Ba2Mg12Ag5 for a wavelength of 1.5418 Å, from a PBE-relaxed structure.

Most intense lines, 10 to 90 degrees two-theta, in order of rising 2θ:
11.54°, I = 39.8, (1 0 1)
17.15°, I = 45.4, (1 1 0)
24.91°, I = 42.8, (1 1 3)
26.00°, I = 53.0, (1 0 4)
29.94°, I = 34.6, (3 0 0)
34.70°, I = 100.0, (2 2 0)
35.12°, I = 51.4, (3 0 3)
35.92°, I = 50.0, (2 1 4)
36.32°, I = 51.3, (0 0 6)
50.81°, I = 34.0, (3 2 4)

Cell and atoms:
Cell: 10.3397 10.3397 14.8374 Å, 90.00 90.00 120.00°
Space group R-3m (No. 166, hexagonal axes)
Symmetry-distinct sites (fractional):
Ba1 0.0000 0.0000 0.1476 [6 per cell]
Mg1 0.0000 0.2855 0.5000 [18 per cell]
Mg2 0.0313 0.5156 0.3509 [18 per cell]
Ag1 0.0000 0.0000 0.4018 [6 per cell]
Ag2 0.0000 0.5000 0.0000 [9 per cell]

Calculated powder diffractogram of Ba2Mg12Ag7 for a wavelength of 1.5418 Å, from a PBE-relaxed structure.

Most intense lines, 10 to 90 degrees two-theta, in order of rising 2θ:
24.28°, I = 63.3, (2 1 0)
25.11°, I = 39.5, (1 1 1)
26.77°, I = 95.4, (2 0 1)
27.59°, I = 33.8, (3 0 0)
31.25°, I = 100.0, (1 2 1)
38.82°, I = 45.7, (3 1 1)
39.33°, I = 41.2, (0 0 2)
42.72°, I = 41.3, (1 4 0)
45.31°, I = 45.1, (3 2 1)
59.47°, I = 41.2, (1 4 2)

Cell and atoms:
Cell: 11.2002 11.2002 4.5816 Å, 90.00 90.00 120.00°
Space group P-6 (No. 174)
Symmetry-distinct sites (fractional):
Ba1 0.0000 0.0000 0.0000 [1 per cell]
Ba2 0.3333 0.6667 0.5000 [1 per cell]
Mg1 0.0325 0.2886 0.5000 [3 per cell]
Mg2 0.1220 0.7384 0.0000 [3 per cell]
Mg3 0.3870 0.1939 0.0000 [3 per cell]
Mg4 0.5546 0.4245 0.5000 [3 per cell]
Ag1 0.0448 0.4556 0.0000 [3 per cell]
Ag2 0.2582 0.2312 0.5000 [3 per cell]
Ag3 0.6667 0.3333 0.0000 [1 per cell]

Calculated powder diffractogram of Ba12MgAg6 for a wavelength of 1.5418 Å, from a PBE-relaxed structure.

Most intense lines, 10 to 90 degrees two-theta, in order of rising 2θ:
10.47°, I = 16.1, (1 1 0)
25.84°, I = 24.7, (2 2 2)
27.95°, I = 100.0, (3 2 1)
31.78°, I = 15.7, (3 3 0)
38.43°, I = 27.9, (5 1 0)
44.21°, I = 26.4, (5 0 3)
45.57°, I = 15.8, (6 0 0)
46.89°, I = 20.9, (5 3 2)
54.31°, I = 15.3, (5 4 3)
67.45°, I = 16.1, (7 5 0)

Cell and atoms:
Cell: 11.9445 11.9445 11.9445 Å, 90.00 90.00 90.00°
Space group Im-3 (No. 204)
Symmetry-distinct sites (fractional):
Ba1 0.0000 0.1829 0.3009 [24 per cell]
Mg1 0.0000 0.0000 0.0000 [2 per cell]
Ag1 0.0000 0.3803 0.5000 [12 per cell]